1.
Starting from a GGA-PBE-relaxed structure, the powder X-ray diffraction pattern of KLiBeO2 was computed for Cu Kα (weighted mean of Kα1 and Kα2).
No peak broadening, texture or thermal motion is included.

Principal peaks in the range 5° ≤ 2θ ≤ 70°, sorted by position:
d [Å]  2theta  I/Imax
2.783  32.2  82
2.675  33.5  39
2.473  36.3  58
2.333  38.6  48
2.254  40.0  47
2.218  40.7  100

Crystal structure
Cell: 5.2676 5.2676 7.3074 Å, 100.38 100.38 34.10°
Element x y z (fractional)
K  0.1514  0.1514  0.1421
K  0.8486  0.8486  0.8579
Li  0.1859  0.1859  0.5550
Li  0.8141  0.8141  0.4450
Be  0.4549  0.4549  0.3489
Be  0.5451  0.5451  0.6511
O  0.0991  0.0991  0.7622
O  0.3860  0.3860  0.5564
O  0.6140  0.6140  0.4436
O  0.9009  0.9009  0.2378


2.
Starting from a GGA-PBE-relaxed structure, the powder X-ray diffraction pattern of SnH10Cl4O5 was computed for Cu Kα (weighted mean of Kα1 and Kα2).
No peak broadening, texture or thermal motion is included.

Principal peaks in the range 5° ≤ 2θ ≤ 70°, sorted by position:
d [Å]  2theta  I/Imax
6.200  14.3  100
5.286  16.8  52
4.971  17.8  25
2.927  30.5  28
2.866  31.2  19
2.643  33.9  27

Crystal structure
Cell: 8.0965 8.0965 8.7011 Å, 101.73 101.73 75.75°
Element x y z (fractional)
Sn  0.2465  0.7535  0.7500
Sn  0.7535  0.2465  0.2500
H  0.0267  0.1954  0.5095
H  0.0734  0.3619  0.7488
H  0.0918  0.7162  0.2757
H  0.1047  0.1239  0.3357
H  0.1239  0.1047  0.8357
H  0.1954  0.0267  0.0095
H  0.2838  0.9082  0.2243
H  0.3347  0.6102  0.1588
H  0.3619  0.0734  0.2488
H  0.3898  0.6653  0.3412
H  0.6102  0.3347  0.6588
H  0.6381  0.9266  0.7512
H  0.6653  0.3898  0.8412
H  0.7162  0.0918  0.7757
H  0.8046  0.9733  0.9905
H  0.8761  0.8953  0.1643
H  0.8953  0.8761  0.6643
H  0.9082  0.2838  0.7243
H  0.9266  0.6381  0.2512
H  0.9733  0.8046  0.4905
Cl  0.0921  0.6290  0.8944
Cl  0.2983  0.4867  0.5639
Cl  0.3710  0.9079  0.6056
Cl  0.4867  0.2983  0.0639
Cl  0.5133  0.7017  0.9361
Cl  0.6290  0.0921  0.3944
Cl  0.7017  0.5133  0.4361
Cl  0.9079  0.3710  0.1056
O  0.0008  0.1556  0.3911
O  0.0325  0.2535  0.7102
O  0.1556  0.0008  0.8911
O  0.2535  0.0325  0.2102
O  0.3025  0.6975  0.2500
O  0.6975  0.3025  0.7500
O  0.7465  0.9675  0.7898
O  0.8444  0.9992  0.1089
O  0.9675  0.7465  0.2898
O  0.9992  0.8444  0.6089


3.
Starting from a GGA-PBE-relaxed structure, the powder X-ray diffraction pattern of Li4Ca3In4 was computed for Cu Kα (weighted mean of Kα1 and Kα2).
No peak broadening, texture or thermal motion is included.

Principal peaks in the range 5° ≤ 2θ ≤ 70°, sorted by position:
d [Å]  2theta  I/Imax
4.096  21.7  39
3.344  26.7  73
2.896  30.9  100
2.189  41.2  25
1.931  47.1  50
1.606  57.4  24

Crystal structure
Cell: 7.0939 7.0939 7.0939 Å, 109.47 109.47 109.47°
Element x y z (fractional)
Li  0.0000  0.0000  0.7698
Li  0.0000  0.7698  0.0000
Li  0.2302  0.2302  0.2302
Li  0.7698  0.0000  0.0000
Ca  0.0000  0.5000  0.5000
Ca  0.5000  0.0000  0.5000
Ca  0.5000  0.5000  0.0000
In  0.0000  0.0000  0.4110
In  0.0000  0.4110  0.0000
In  0.4110  0.0000  0.0000
In  0.5890  0.5890  0.5890


4.
Starting from a GGA-PBE-relaxed structure, the powder X-ray diffraction pattern of Li2CdTc was computed for Cu Kα (weighted mean of Kα1 and Kα2).
No peak broadening, texture or thermal motion is included.

Principal peaks in the range 5° ≤ 2θ ≤ 70°, sorted by position:
d [Å]  2theta  I/Imax
4.746  18.7  100
2.532  35.5  40
2.373  37.9  20
2.234  40.4  66
1.986  45.7  19
1.731  52.9  25

Crystal structure
Cell: 2.6819 2.6819 9.4922 Å, 90.00 90.00 109.27°
Element x y z (fractional)
Li  0.0000  0.0000  0.2335
Li  0.0000  0.0000  0.7665
Cd  0.5000  0.5000  0.5000
Tc  0.5000  0.5000  0.0000


5.
Starting from a GGA-PBE-relaxed structure, the powder X-ray diffraction pattern of ScHgP was computed for Cu Kα (weighted mean of Kα1 and Kα2).
No peak broadening, texture or thermal motion is included.

Principal peaks in the range 5° ≤ 2θ ≤ 70°, sorted by position:
d [Å]  2theta  I/Imax
3.475  25.6  100
3.005  29.7  30
2.690  33.3  40
2.567  35.0  40
2.004  45.2  30
1.952  46.5  35

Crystal structure
Cell: 6.5352 6.5352 6.5352 Å, 147.75 147.75 46.25°
Element x y z (fractional)
Sc  0.0000  0.0000  0.0000
Hg  0.2393  0.2393  0.0000
P  0.4736  0.4736  0.0000


6.
Starting from a GGA-PBE-relaxed structure, the powder X-ray diffraction pattern of Zr3Sb2As was computed for Cu Kα (weighted mean of Kα1 and Kα2).
No peak broadening, texture or thermal motion is included.

Principal peaks in the range 5° ≤ 2θ ≤ 70°, sorted by position:
d [Å]  2theta  I/Imax
2.862  31.2  100
2.054  44.1  21
2.036  44.5  10
2.012  45.1  10
1.996  45.5  24
1.646  55.8  10

Crystal structure
Cell: 7.0197 7.0197 6.8940 Å, 99.65 99.65 118.62°
Element x y z (fractional)
Zr  0.0000  0.5000  0.0000
Zr  0.1239  0.2679  0.4785
Zr  0.2679  0.1239  0.9785
Zr  0.5000  0.0000  0.5000
Zr  0.7321  0.8761  0.0215
Zr  0.8761  0.7321  0.5215
Sb  0.2712  0.7288  0.7500
Sb  0.4272  0.5728  0.2500
Sb  0.5728  0.4272  0.7500
Sb  0.7288  0.2712  0.2500
As  0.0988  0.9012  0.2500
As  0.9012  0.0988  0.7500


7.
Starting from a GGA-PBE-relaxed structure, the powder X-ray diffraction pattern of PaH5Ru2 was computed for Cu Kα (weighted mean of Kα1 and Kα2).
No peak broadening, texture or thermal motion is included.

Principal peaks in the range 5° ≤ 2θ ≤ 70°, sorted by position:
d [Å]  2theta  I/Imax
4.297  20.7  63
3.237  27.6  43
3.125  28.6  90
2.792  32.1  66
2.583  34.7  67
2.082  43.5  100

Crystal structure
Cell: 4.5491 4.5491 4.0794 Å, 106.04 106.04 75.72°
Element x y z (fractional)
Pa  0.0000  0.0000  0.0000
H  0.0497  0.5879  0.2907
H  0.4121  0.9503  0.7093
H  0.4599  0.5401  0.0000
H  0.5897  0.0680  0.3060
H  0.9320  0.4103  0.6940
Ru  0.2835  0.2932  0.5544
Ru  0.7068  0.7165  0.4456


8.
Starting from a GGA-PBE-relaxed structure, the powder X-ray diffraction pattern of KGa2Sn2 was computed for Cu Kα (weighted mean of Kα1 and Kα2).
No peak broadening, texture or thermal motion is included.

Principal peaks in the range 5° ≤ 2θ ≤ 70°, sorted by position:
d [Å]  2theta  I/Imax
5.619  15.8  40
2.962  30.2  100
2.465  36.4  61
2.188  41.3  56
1.502  61.7  26
1.363  68.9  25

Crystal structure
Cell: 6.6127 6.6127 6.6127 Å, 136.23 136.23 63.63°
Element x y z (fractional)
K  0.0000  0.0000  0.0000
Ga  0.3858  0.3858  0.0000
Ga  0.6142  0.6142  0.0000
Sn  0.2500  0.7500  0.5000
Sn  0.7500  0.2500  0.5000


9.
Starting from a GGA-PBE-relaxed structure, the powder X-ray diffraction pattern of Tm2Si3Pd5 was computed for Cu Kα (weighted mean of Kα1 and Kα2).
No peak broadening, texture or thermal motion is included.

Principal peaks in the range 5° ≤ 2θ ≤ 70°, sorted by position:
d [Å]  2theta  I/Imax
2.482  36.2  100
2.463  36.5  98
2.293  39.3  26
2.253  40.0  34
2.246  40.1  26
2.098  43.1  46

Crystal structure
Cell: 12.1506 12.1506 6.6732 Å, 90.00 90.00 160.12°
Element x y z (fractional)
Tm  0.0232  0.9768  0.5000
Tm  0.3257  0.6743  0.4658
Tm  0.6743  0.3257  0.9658
Tm  0.9768  0.0232  0.0000
Si  0.1188  0.8812  0.2563
Si  0.2731  0.7269  0.9210
Si  0.4508  0.5492  0.2898
Si  0.5492  0.4508  0.7898
Si  0.7269  0.2731  0.4210
Si  0.8812  0.1188  0.7563
Pd  0.0944  0.9056  0.8898
Pd  0.2003  0.7997  0.6433
Pd  0.2211  0.7789  0.2252
Pd  0.3751  0.6249  0.0015
Pd  0.4456  0.5544  0.6649
Pd  0.5544  0.4456  0.1649
Pd  0.6249  0.3751  0.5015
Pd  0.7789  0.2211  0.7252
Pd  0.7997  0.2003  0.1433
Pd  0.9056  0.0944  0.3898


10.
Starting from a GGA-PBE-relaxed structure, the powder X-ray diffraction pattern of CsKS2 was computed for Cu Kα (weighted mean of Kα1 and Kα2).
No peak broadening, texture or thermal motion is included.

Principal peaks in the range 5° ≤ 2θ ≤ 70°, sorted by position:
d [Å]  2theta  I/Imax
5.727  15.5  41
4.147  21.4  47
3.453  25.8  47
3.359  26.5  52
3.341  26.7  100
2.577  34.8  49

Crystal structure
Cell: 4.9392 4.9392 22.9087 Å, 90.00 90.00 90.00°
Element x y z (fractional)
Cs  0.1581  0.7197  0.0000
Cs  0.2803  0.1581  0.2500
Cs  0.7197  0.8419  0.7500
Cs  0.8419  0.2803  0.5000
K  0.1606  0.3234  0.8704
K  0.3234  0.8394  0.6204
K  0.6766  0.1606  0.1204
K  0.8394  0.6766  0.3704
S  0.0595  0.6596  0.1452
S  0.1881  0.3405  0.7213
S  0.3404  0.0595  0.3952
S  0.3405  0.8119  0.4713
S  0.6595  0.1881  0.9713
S  0.6596  0.9405  0.8952
S  0.8119  0.6595  0.2213
S  0.9405  0.3404  0.6452


11.
Starting from a GGA-PBE-relaxed structure, the powder X-ray diffraction pattern of CaNd5Tm3 was computed for Cu Kα (weighted mean of Kα1 and Kα2).
No peak broadening, texture or thermal motion is included.

Principal peaks in the range 5° ≤ 2θ ≤ 70°, sorted by position:
d [Å]  2theta  I/Imax
2.960  30.2  12
2.885  31.0  100
2.873  31.1  92
2.036  44.5  34
1.661  55.3  42
1.507  61.5  26

Crystal structure
Cell: 9.9562 9.9562 7.0813 Å, 90.00 90.00 59.92°
Element x y z (fractional)
Ca  0.1895  0.8105  0.7500
Ca  0.8105  0.1895  0.2500
Nd  0.1332  0.4981  0.7500
Nd  0.1517  0.8483  0.2500
Nd  0.2001  0.4939  0.2500
Nd  0.4939  0.2001  0.7500
Nd  0.4981  0.1332  0.2500
Nd  0.5019  0.8668  0.7500
Nd  0.5061  0.7999  0.2500
Nd  0.7999  0.5061  0.7500
Nd  0.8483  0.1517  0.7500
Nd  0.8668  0.5019  0.2500
Tm  0.1668  0.1668  0.0000
Tm  0.1668  0.1668  0.5000
Tm  0.5000  0.5000  0.0000
Tm  0.5000  0.5000  0.5000
Tm  0.8332  0.8332  0.0000
Tm  0.8332  0.8332  0.5000


12.
Starting from a GGA-PBE-relaxed structure, the powder X-ray diffraction pattern of LiAg2Se was computed for Cu Kα (weighted mean of Kα1 and Kα2).
No peak broadening, texture or thermal motion is included.

Principal peaks in the range 5° ≤ 2θ ≤ 70°, sorted by position:
d [Å]  2theta  I/Imax
4.471  19.9  24
3.666  24.3  17
2.398  37.5  100
2.235  40.3  19
2.010  45.1  27
1.495  62.1  20

Crystal structure
Cell: 5.2980 5.2980 5.2980 Å, 135.41 135.41 64.89°
Element x y z (fractional)
Li  0.0000  0.0000  0.0000
Ag  0.2500  0.7500  0.5000
Ag  0.7500  0.2500  0.5000
Se  0.5000  0.5000  0.0000